The following is a theoretical XRD peak list of Pa2Zn5Cu12. It was derived from a structure optimized by DFT (PBE), using Cu Kα X-rays.
Peak positions follow from Bragg's law for the DFT cell and can differ from measured ones.

Main lines, by angle (2θ = 10–90°):
h k l  two_theta  I/Imax
1 1 3  29.53  40
1 0 4  30.63  22
3 0 0  35.91  49
0 2 4  37.14  36
2 2 0  41.70  61
0 3 3  41.98  100
0 0 6  42.80  54
2 2 3  47.16  13
2 1 7  60.67  26
2 2 6  61.29  25
3 3 3  68.70  24
6 0 0  76.13  20

Structure:
```
data_Pa2Zn5Cu12
_chemical_formula_sum 'Pa6 Zn15 Cu36'
_symmetry_space_group_name_H-M 'R -3 m'
_symmetry_Int_Tables_number 166
_symmetry_space_group_name_Hall '-R 3 2"'
_cell_length_a 8.6630
_cell_length_b 8.6630
_cell_length_c 12.6757
_cell_angle_alpha 90.00
_cell_angle_beta 90.00
_cell_angle_gamma 120.00
loop_
_atom_site_label
_atom_site_fract_x
_atom_site_fract_y
_atom_site_fract_z
Pa1 0.0000 0.0000 0.1467
Zn1 0.0000 0.0000 0.3988
Zn2 0.0000 0.5000 0.0000
Cu1 0.0000 0.3035 0.5000
Cu2 0.0049 0.5025 0.6532
```